Structure and theoretical X-ray powder pattern of In2Co2O7 (a crystal structure in Alexandria, relaxed with GGA+U; CuKα).
No peak broadening, texture or thermal motion is included.

Cell and atoms:
```
In2Co2O7
1.0
0.0000 4.8587 4.8587
4.8587 0.0000 4.8587
4.8587 4.8587 0.0000
In Co O
4 4 14
Cartesian
0.0000 0.0000 0.0000
2.4294 2.4294 0.0000
2.4294 0.0000 2.4294
0.0000 2.4294 2.4294
4.8587 2.4294 2.4294
2.4294 4.8587 2.4294
2.4294 2.4294 4.8587
4.8587 4.8587 4.8587
1.2147 1.2147 1.2147
3.6441 3.6441 1.6681
3.6441 1.6681 3.6441
5.6200 3.6441 3.6441
6.0734 6.0734 4.0975
6.0734 4.0975 6.0734
8.0494 6.0734 6.0734
1.6681 3.6441 3.6441
3.6441 5.6200 3.6441
3.6441 3.6441 5.6200
4.0975 6.0734 6.0734
6.0734 8.0494 6.0734
6.0734 6.0734 8.0494
8.5028 8.5028 8.5028
```

Main lines, in order of rising 2θ (2θ from 5° to 70°):
| 2θ/deg | I (rel.) |
| --- | --- |
| 31.90 | 100 |
| 37.00 | 27 |
| 40.46 | 11 |
| 53.33 | 46 |
| 63.50 | 38 |
| 66.68 | 8 |